Simulated X-ray powder pattern of Th4ZnPd15 for copper Kα, from the GGA-PBE geometry in Alexandria.
Peak positions follow from Bragg's law for the DFT cell and can differ from measured ones.

Crystal structure
```
data_Th4ZnPd15
_chemical_formula_sum 'Th4 Zn1 Pd15'
_cell_length_a 4.197
_cell_length_b 4.197
_cell_length_c 20.456
_cell_angle_alpha 90.00
_cell_angle_beta 90.00
_cell_angle_gamma 90.00
_symmetry_space_group_name_H-M 'P 4/m m m'
_symmetry_Int_Tables_number 123
_symmetry_space_group_name_Hall '-P 4 2'
loop_
_atom_site_label
_atom_site_type_symbol
_atom_site_fract_x
_atom_site_fract_y
_atom_site_fract_z
Th1 Th 0.000 0.000 0.105
Th2 Th 0.000 0.000 0.315
Zn1 Zn 0.000 0.000 0.500
Pd1 Pd 0.000 0.500 0.000
Pd2 Pd 0.000 0.500 0.205
Pd3 Pd 0.000 0.500 0.410
Pd4 Pd 0.500 0.500 0.102
Pd5 Pd 0.500 0.500 0.307
Pd6 Pd 0.500 0.500 0.500
```

The 6 most intense peaks (10 to 90 degrees two-theta), sorted by position:
2theta	I_rel
37.44	100.0
43.11	35.9
44.28	12.7
62.61	11.8
63.51	17.2
75.28	25.6